(1)
# CsNbNiO2F4
Simulated X-ray diffraction stick pattern, CuKα. Input: a cell relaxed with PBE+U.
Lines closer than 0.1° are merged.

Most intense lines, 2θ = 15–90°, by angle:
Position (°2θ), d/Å, Rel. int.
23.54, 3.780, 31.2
23.73, 3.749, 33.8
27.65, 3.226, 98.5
27.79, 3.210, 100.0
28.11, 3.174, 92.6
29.12, 3.066, 70.0
44.24, 2.048, 36.0
44.36, 2.042, 26.0
48.15, 1.890, 35.1
48.55, 1.875, 35.1

Cell: 7.5024 7.5024 7.4634 Å, 119.32 119.32 91.30°
Fractional positions:
Cs 0.0000 0.0000 0.0000
Cs 0.7452 0.2548 0.5000
Nb 0.3713 0.1424 0.7391
Nb 0.8576 0.6287 0.2609
Ni 0.3745 0.6238 0.7492
Ni 0.3762 0.6255 0.2508
O 0.0766 0.9234 0.5000
O 0.3099 0.3186 0.6326
O 0.6814 0.6901 0.3674
O 0.6856 0.3144 0.0000
F 0.0475 0.5471 0.4962
F 0.0544 0.5543 0.1139
F 0.2991 0.2954 0.9962
F 0.3033 0.6967 0.0000
F 0.4449 0.5551 0.5000
F 0.4457 0.9456 0.8861
F 0.4529 0.9525 0.5038
F 0.7046 0.7009 0.0038

(2)
# Li7Mn5O12
Simulated X-ray diffraction stick pattern, CuKα. Input: a cell relaxed with PBE+U.
Lines closer than 0.1° are merged.

Most intense lines, 2θ = 15–90°, by angle:
Position (°2θ), d/Å, Rel. int.
18.27, 4.856, 100.0
34.27, 2.616, 15.8
36.23, 2.479, 11.7
36.41, 2.468, 11.5
41.17, 2.192, 34.3
44.05, 2.056, 28.1
44.42, 2.040, 27.5
61.87, 1.500, 16.2
62.05, 1.496, 8.2
62.27, 1.491, 8.0

Cell: 5.0892 5.9989 7.6561 Å, 81.68 77.50 76.36°
Fractional positions:
Li 0.0000 0.0000 0.0000
Li 0.0016 0.1454 0.3486
Li 0.4909 0.1603 0.8381
Li 0.9699 0.3256 0.6784
Li 0.9737 0.5169 0.9942
Li 0.9804 0.8370 0.6772
Li 0.9879 0.6657 0.3396
Mn 0.4832 0.3354 0.1698
Mn 0.4826 0.6640 0.8397
Mn 0.4837 0.8414 0.1696
Mn 0.4869 0.4882 0.5133
Mn 0.4924 0.9962 0.5097
O 0.2510 0.6855 0.0777
O 0.2530 0.3453 0.4153
O 0.2544 0.5057 0.7546
O 0.2616 0.8408 0.4094
O 0.2689 0.1417 0.1032
O 0.2709 0.9619 0.7524
O 0.6933 0.5271 0.2548
O 0.6995 0.3647 0.9286
O 0.7098 0.8232 0.9334
O 0.7189 0.6434 0.6053
O 0.7199 0.9851 0.2587
O 0.7305 0.1517 0.5804

(3)
# CoH8Cl2O4
Simulated X-ray diffraction stick pattern, CuKα. Input: a cell relaxed with PBE+U.
Lines closer than 0.1° are merged.

Most intense lines, 2θ = 15–90°, by angle:
Position (°2θ), d/Å, Rel. int.
16.27, 5.447, 42.9
18.03, 4.920, 100.0
18.38, 4.828, 25.5
20.12, 4.414, 28.5
20.29, 4.377, 88.5
29.68, 3.010, 38.2
30.81, 2.902, 61.2
32.30, 2.771, 37.6
34.38, 2.609, 38.3
44.10, 2.053, 22.1

Cell: 6.1180 9.6559 11.6547 Å, 90.00 110.81 90.00°
Fractional positions:
Co 0.2472 0.1778 0.2308
Co 0.2472 0.3222 0.7308
Co 0.7528 0.6778 0.2692
Co 0.7528 0.8222 0.7692
H 0.0094 0.1520 0.3859
H 0.0094 0.3480 0.8859
H 0.0331 0.5554 0.5896
H 0.0331 0.9446 0.0896
H 0.0345 0.5193 0.1947
H 0.0345 0.9807 0.6947
H 0.3097 0.5598 0.6175
H 0.3097 0.9402 0.1175
H 0.3315 0.6935 0.2971
H 0.3315 0.8065 0.7971
H 0.3849 0.5892 0.0630
H 0.3849 0.9108 0.5630
H 0.4657 0.2016 0.0719
H 0.4657 0.2984 0.5719
H 0.4733 0.0416 0.6499
H 0.4733 0.4584 0.1499
H 0.5267 0.5416 0.8501
H 0.5267 0.9584 0.3501
H 0.5343 0.7016 0.4281
H 0.5343 0.7984 0.9281
H 0.6151 0.0892 0.4370
H 0.6151 0.4108 0.9370
H 0.6685 0.1935 0.2029
H 0.6685 0.3065 0.7029
H 0.6903 0.0598 0.8825
H 0.6903 0.4402 0.3825
H 0.9655 0.0193 0.3053
H 0.9655 0.4807 0.8053
H 0.9669 0.0554 0.9104
H 0.9669 0.4446 0.4104
H 0.9906 0.6520 0.1141
H 0.9906 0.8480 0.6141
Cl 0.0229 0.6848 0.9341
Cl 0.0229 0.8152 0.4341
Cl 0.3567 0.1360 0.8814
Cl 0.3567 0.3640 0.3814
Cl 0.6433 0.6360 0.6186
Cl 0.6433 0.8640 0.1186
Cl 0.9771 0.1848 0.5659
Cl 0.9771 0.3152 0.0659
O 0.0269 0.6212 0.2004
O 0.0269 0.8788 0.7004
O 0.1809 0.5071 0.6298
O 0.1809 0.9929 0.1298
O 0.4836 0.0512 0.3683
O 0.4836 0.4488 0.8683
O 0.4911 0.7294 0.3406
O 0.4911 0.7706 0.8406
O 0.5089 0.2294 0.1594
O 0.5089 0.2706 0.6594
O 0.5164 0.5512 0.1317
O 0.5164 0.9488 0.6317
O 0.8191 0.0071 0.8702
O 0.8191 0.4929 0.3702
O 0.9731 0.1212 0.2996
O 0.9731 0.3788 0.7996

(4)
# NdCoSbPbO6
Simulated X-ray diffraction stick pattern, CuKα. Input: a cell relaxed with PBE+U.
Lines closer than 0.1° are merged.

Most intense lines, 2θ = 15–90°, by angle:
Position (°2θ), d/Å, Rel. int.
30.70, 2.912, 46.8
31.29, 2.859, 100.0
31.42, 2.848, 99.4
31.70, 2.823, 49.2
44.71, 2.027, 46.2
45.15, 2.008, 26.8
54.99, 1.670, 29.7
55.59, 1.653, 19.8
56.10, 1.639, 33.3
56.36, 1.632, 32.6

Cell: 5.6461 5.8244 9.7932 Å, 90.00 124.89 90.00°
Fractional positions:
Nd 0.0000 0.1898 0.0000
Nd 0.0000 0.8102 0.5000
Co 0.2364 0.2646 0.7507
Co 0.2364 0.7354 0.2507
Sb 0.7319 0.2590 0.2468
Sb 0.7319 0.7410 0.7468
Pb 0.4825 0.2719 0.5025
Pb 0.4825 0.7281 0.0025
O 0.0456 0.0426 0.2835
O 0.0456 0.9574 0.7835
O 0.3871 0.4396 0.1978
O 0.3871 0.5604 0.6978
O 0.4795 0.0192 0.7057
O 0.4795 0.9808 0.2057
O 0.5901 0.2661 0.0048
O 0.5901 0.7339 0.5048
O 0.9092 0.2182 0.4924
O 0.9092 0.7818 0.9924
O 0.9642 0.4526 0.7963
O 0.9642 0.5474 0.2963